V2Br3F: computed powder X-ray diffraction pattern (Cu Ka), based on a DFT-relaxed cell (GGA+U, Alexandria).

Structure:
Lattice parameters (Å, degrees): 18.077 3.739 12.490 90.00 123.51 90.00
Space group C2/m (No. 12)
One atom of each set of equivalent atoms:
V: 0.224 0.000 0.109
V: 0.224 0.500 0.349
Br: 0.112 0.000 0.188
Br: 0.142 0.500 0.924
Br: 0.159 0.500 0.498
F: 0.229 0.000 0.774

Main lines, by angle (10° ≤ 2θ ≤ 90°):
hkl, 2theta, d_spacing, intensity
2 0 0, 11.74, 7.536, 100
3 1 -2, 29.03, 3.076, 27
6 0 -2, 29.77, 3.001, 20
1 1 2, 31.88, 2.807, 65
6 0 -4, 33.19, 2.700, 29
3 1 1, 33.71, 2.659, 19
7 1 -2, 42.97, 2.105, 23
7 1 -5, 47.36, 1.919, 15
0 2 0, 48.70, 1.870, 14
5 1 -6, 50.17, 1.818, 13